# 1
For Be2CrF8, a structure optimized by DFT (PBE+U) gives the simulated X-ray diffraction stick pattern in this record (a wavelength of 1.5418 Å).

Structure:
```
data_Be2CrF8
_cell_length_a 11.2921
_cell_length_b 5.3598
_cell_length_c 4.6899
_cell_angle_alpha 90.00
_cell_angle_beta 93.27
_cell_angle_gamma 90.00
_symmetry_space_group_name_H-M 'C 1 2/m 1'
_symmetry_Int_Tables_number 12
loop_
_symmetry_equiv_pos_as_xyz
'x,y,z'
'-x,-y,-z'
'-x,y,-z'
'x,-y,z'
'x+1/2,y+1/2,z'
'-x+1/2,-y+1/2,-z'
'-x+1/2,y+1/2,-z'
'x+1/2,-y+1/2,z'
loop_
_atom_site_label
_atom_site_type_symbol
_atom_site_fract_x
_atom_site_fract_y
_atom_site_fract_z
Be1 Be 0.1667 0.0000 0.1221
Cr1 Cr 0.0000 0.0000 0.5000
F1 F 0.0899 0.2190 0.2864
F2 F 0.1186 0.0000 0.7901
F3 F 0.2067 0.5000 0.8349
```

Principal peaks in the range 2θ = 15–90°, by angle:
2θ 15.72, I = 20
2θ 18.33, I = 100
2θ 25.41, I = 28
2θ 26.81, I = 24
2θ 34.11, I = 19
2θ 41.58, I = 39
2θ 50.09, I = 15
2θ 60.18, I = 13


# 2
For RbBeCr2F8, a structure optimized by DFT (PBE+U) gives the simulated X-ray diffraction stick pattern in this record (a wavelength of 1.5418 Å).

Structure:
```
data_RbBeCr2F8
_cell_length_a 4.8237
_cell_length_b 4.8381
_cell_length_c 7.6564
_cell_angle_alpha 88.51
_cell_angle_beta 88.67
_cell_angle_gamma 80.83
_symmetry_space_group_name_H-M 'P -1'
_symmetry_Int_Tables_number 2
loop_
_symmetry_equiv_pos_as_xyz
'x,y,z'
'-x,-y,-z'
loop_
_atom_site_label
_atom_site_type_symbol
_atom_site_fract_x
_atom_site_fract_y
_atom_site_fract_z
Rb1 Rb 0.0000 0.0000 0.0000
Be1 Be 0.0000 0.0000 0.5000
Cr1 Cr 0.4944 0.4937 0.6867
F1 F 0.1842 0.8124 0.6615
F2 F 0.1873 0.8169 0.3390
F3 F 0.3021 0.3031 0.4916
F4 F 0.3509 0.3492 0.8963
```

Principal peaks in the range 2θ = 15–90°, by angle:
2θ 21.75, I = 65
2θ 22.17, I = 25
2θ 24.21, I = 100
2θ 28.50, I = 59
2θ 29.63, I = 59
2θ 35.18, I = 27
2θ 42.48, I = 26
2θ 43.85, I = 34